[1]
Theoretical powder diffractogram
Compound: Li2FePO4F
Radiation: CuKα
Structure: a cell relaxed with PBE+U

Structural model:
a b c (Å): 5.3914 5.4518 7.5243
angles (deg): 107.95 108.43 95.39
Space group P1 (No. 1)
Asymmetric unit:
1 Li 0.0000 0.0000 0.0000
2 Li 0.0248 0.2577 0.3873
3 Li 0.2796 0.5220 0.2197
4 Li 0.6380 0.6059 0.6266
5 Fe 0.5058 0.0701 0.0300
6 Fe 0.5141 0.0692 0.5445
7 P 0.1635 0.4389 0.7880
8 P 0.8563 0.7090 0.2942
9 O 0.1551 0.7952 0.4341
10 O 0.2015 0.7349 0.9107
11 O 0.2163 0.2878 0.9360
12 O 0.3495 0.3936 0.6649
13 O 0.6554 0.7326 0.4052
14 O 0.8065 0.8875 0.1662
15 O 0.8231 0.4103 0.1730
16 O 0.8716 0.3394 0.6277
17 F 0.3344 0.1944 0.2777
18 F 0.6603 0.9525 0.7966

Top 10 peaks for 10 to 90 degrees two-theta, sorted by position:
- (0 1 0), 2θ = 17.50°, intensity 19
- (1 0 0), 2θ = 17.75°, intensity 23
- (1 -1 0), 2θ = 22.17°, intensity 12
- (-1 1 1), 2θ = 25.85°, intensity 26
- (1 -1 1), 2θ = 26.04°, intensity 14
- (0 1 -2), 2θ = 26.20°, intensity 100
- (1 1 0), 2θ = 27.59°, intensity 55
- (-1 1 2), 2θ = 34.84°, intensity 14
- (1 -2 0), 2θ = 36.19°, intensity 14
- (1 -2 2), 2θ = 41.47°, intensity 16

[2]
Theoretical powder diffractogram
Compound: Li2Fe2P2O9F
Radiation: CuKα
Structure: a cell relaxed with PBE+U

Structural model:
a b c (Å): 5.2412 5.3698 7.2173
angles (deg): 107.36 107.65 97.61
Space group P1 (No. 1)
Asymmetric unit:
1 Li 0.0000 0.0000 0.0000
2 Li 0.4730 0.7594 0.5300
3 Fe 0.7432 0.3897 0.3225
4 Fe 0.7455 0.3937 0.8026
5 P 0.0754 0.0285 0.5684
6 P 0.4268 0.7538 0.0605
7 O 0.0574 0.7257 0.4586
8 O 0.1262 0.6287 0.9062
9 O 0.3831 0.1394 0.7117
10 O 0.4305 0.0570 0.1517
11 O 0.4969 0.6322 0.2338
12 O 0.6352 0.7213 0.9452
13 O 0.6424 0.4568 0.5501
14 O 0.8857 0.0568 0.6995
15 O 0.9946 0.1646 0.4063
16 F 0.8546 0.3171 0.0727

Top 10 peaks for 10 to 90 degrees two-theta, sorted by position:
- (0 1 0), 2θ = 17.85°, intensity 21
- (1 0 0), 2θ = 18.31°, intensity 53
- (1 0 -1), 2θ = 18.53°, intensity 18
- (1 -1 0), 2θ = 22.27°, intensity 21
- (-1 1 1), 2θ = 26.16°, intensity 15
- (1 -1 1), 2θ = 26.38°, intensity 20
- (0 1 -2), 2θ = 27.16°, intensity 100
- (1 1 0), 2θ = 28.72°, intensity 60
- (1 -2 0), 2θ = 36.37°, intensity 24
- (2 1 0), 2θ = 45.50°, intensity 22

[3]
Theoretical powder diffractogram
Compound: Li2VFeP2O8F2
Radiation: CuKα
Structure: a cell relaxed with PBE+U

Structural model:
a b c (Å): 5.2276 5.3724 7.4126
angles (deg): 106.82 108.67 97.88
Space group P-1 (No. 2)
Asymmetric unit:
1 Li 0.2265 0.3819 0.3164
2 V 0.5000 0.0000 0.5000
3 Fe 0.5000 0.0000 0.0000
4 P 0.1787 0.3591 0.7367
5 O 0.1308 0.7534 0.4151
6 O 0.1933 0.6589 0.8410
7 O 0.2530 0.2115 0.8871
8 O 0.3703 0.3346 0.6097
9 F 0.3683 0.0713 0.2338

Top 10 peaks for 10 to 90 degrees two-theta, sorted by position:
- (0 1 0), 2θ = 17.83°, intensity 34
- (1 0 -1), 2θ = 18.32°, intensity 45
- (1 0 0), 2θ = 18.52°, intensity 59
- (1 -1 0), 2θ = 22.26°, intensity 26
- (1 0 -2), 2θ = 26.47°, intensity 100
- (0 1 -2), 2θ = 26.70°, intensity 87
- (1 1 0), 2θ = 28.96°, intensity 94
- (1 -2 0), 2θ = 36.23°, intensity 31
- (2 1 0), 2θ = 46.03°, intensity 21
- (2 0 2), 2θ = 55.40°, intensity 29

[4]
Theoretical powder diffractogram
Compound: LiFeSO4F
Radiation: CuKα
Structure: a cell relaxed with PBE+U

Structural model:
a b c (Å): 5.2495 5.5787 7.4073
angles (deg): 107.07 107.16 97.31
Space group P1 (No. 1)
Asymmetric unit:
1 Li 0.0000 0.0000 0.0000
2 Li 0.4678 0.7544 0.4199
3 Fe 0.7334 0.3780 0.7106
4 Fe 0.7349 0.3783 0.2108
5 S 0.0582 0.0122 0.4541
6 S 0.4093 0.7446 0.9679
7 O 0.0096 0.1380 0.2985
8 O 0.0575 0.7351 0.3568
9 O 0.1350 0.6270 0.8113
10 O 0.3308 0.1326 0.6122
11 O 0.4123 0.0219 0.0666
12 O 0.4585 0.6172 0.1225
13 O 0.6293 0.7272 0.8775
14 O 0.8363 0.0286 0.5428
15 F 0.6209 0.4738 0.4577
16 F 0.8477 0.2822 0.9634

Top 10 peaks for 10 to 90 degrees two-theta, sorted by position:
- (0 1 -1), 2θ = 17.65°, intensity 29
- (1 0 0), 2θ = 18.19°, intensity 48
- (1 0 -1), 2θ = 18.42°, intensity 26
- (-1 1 1), 2θ = 25.53°, intensity 35
- (0 1 -2), 2θ = 26.36°, intensity 92
- (1 0 -2), 2θ = 26.69°, intensity 53
- (1 1 0), 2θ = 27.90°, intensity 100
- (1 -2 0), 2θ = 35.22°, intensity 53
- (2 1 0), 2θ = 44.63°, intensity 36
- (1 -3 2), 2θ = 52.93°, intensity 28

[5]
Theoretical powder diffractogram
Compound: LiTl3Fe2F9
Radiation: CuKα
Structure: a cell relaxed with PBE+U

Structural model:
a b c (Å): 5.9531 5.9531 7.2469
angles (deg): 90.00 90.00 120.00
Space group P-3m1 (No. 164)
Asymmetric unit:
1 Li 0.0000 0.0000 0.0000
2 Tl 0.0000 0.0000 0.5000
3 Tl 0.3333 0.6667 0.1483
4 Fe 0.3333 0.6667 0.6669
5 F 0.0000 0.5000 0.5000
6 F 0.1720 0.3441 0.8213

Top 10 peaks for 10 to 90 degrees two-theta, sorted by position:
- (1 0 1), 2θ = 21.15°, intensity 93
- (1 1 0), 2θ = 30.02°, intensity 100
- (0 1 2), 2θ = 30.15°, intensity 100
- (0 2 1), 2θ = 37.01°, intensity 56
- (2 0 2), 2θ = 43.06°, intensity 68
- (2 1 1), 2θ = 48.37°, intensity 23
- (1 1 3), 2θ = 48.54°, intensity 20
- (3 0 0), 2θ = 53.36°, intensity 62
- (2 2 0), 2θ = 62.40°, intensity 21
- (4 1 0), 2θ = 86.54°, intensity 22

[6]
Theoretical powder diffractogram
Compound: MgFeF
Radiation: CuKα
Structure: a cell relaxed with PBE+U

Structural model:
a b c (Å): 3.2216 7.4312 3.7757
angles (deg): 90.00 90.00 90.00
Space group Pmn2_1 (No. 31)
Asymmetric unit:
1 Mg 0.0000 0.1791 0.0000
2 Fe 0.0000 0.5568 0.0081
3 F 0.0000 0.9493 0.3088

Top 10 peaks for 10 to 90 degrees two-theta, sorted by position:
- (0 1 0), 2θ = 11.91°, intensity 74
- (0 2 0), 2θ = 23.95°, intensity 49
- (0 2 1), 2θ = 33.85°, intensity 78
- (1 0 1), 2θ = 36.67°, intensity 100
- (1 2 0), 2θ = 36.93°, intensity 33
- (1 1 1), 2θ = 38.69°, intensity 74
- (0 3 1), 2θ = 43.71°, intensity 27
- (1 3 0), 2θ = 46.23°, intensity 41
- (1 3 1), 2θ = 52.53°, intensity 34
- (1 2 2), 2θ = 62.23°, intensity 26

[7]
Theoretical powder diffractogram
Compound: MgFeF3
Radiation: CuKα
Structure: a cell relaxed with PBE+U

Structural model:
a b c (Å): 3.9384 3.9384 3.9384
angles (deg): 90.00 90.00 90.00
Space group Pm-3m (No. 221)
Asymmetric unit:
1 Mg 0.0000 0.0000 0.0000
2 Fe 0.5000 0.5000 0.5000
3 F 0.0000 0.0000 0.5000

Top 10 peaks for 10 to 90 degrees two-theta, sorted by position:
- (1 0 0), 2θ = 22.58°, intensity 5
- (1 1 0), 2θ = 32.14°, intensity 100
- (1 1 1), 2θ = 39.64°, intensity 73
- (2 0 0), 2θ = 46.09°, intensity 82
- (2 1 0), 2θ = 51.91°, intensity 2
- (2 1 1), 2θ = 57.30°, intensity 37
- (2 2 0), 2θ = 67.24°, intensity 44
- (3 1 0), 2θ = 76.49°, intensity 16
- (3 1 1), 2θ = 80.96°, intensity 17
- (2 2 2), 2θ = 85.39°, intensity 14

[8]
Theoretical powder diffractogram
Compound: MgFeF5
Radiation: CuKα
Structure: a cell relaxed with PBE+U

Structural model:
a b c (Å): 8.5731 6.1845 7.5405
angles (deg): 90.00 116.61 90.00
Space group C2/c (No. 15)
Asymmetric unit:
1 Mg 0.0000 0.0266 0.2500
2 Fe 0.0000 0.5000 0.0000
3 F 0.0000 0.3782 0.2500
4 F 0.0215 0.1970 0.9512
5 F 0.2474 0.4628 0.6350

Top 10 peaks for 10 to 90 degrees two-theta, sorted by position:
- (1 1 0), 2θ = 18.43°, intensity 36
- (2 0 0), 2θ = 23.21°, intensity 87
- (1 1 -2), 2θ = 27.71°, intensity 100
- (0 2 0), 2θ = 28.87°, intensity 36
- (4 0 0), 2θ = 47.44°, intensity 32
- (2 0 -4), 2θ = 48.28°, intensity 20
- (1 3 -2), 2θ = 50.46°, intensity 37
- (5 1 -2), 2θ = 55.63°, intensity 14
- (3 1 2), 2θ = 56.08°, intensity 20
- (2 2 -4), 2θ = 57.24°, intensity 15

[9]
Theoretical powder diffractogram
Compound: MgFeF5
Radiation: CuKα
Structure: a cell relaxed with PBE+U

Structural model:
a b c (Å): 3.6052 6.5485 7.8275
angles (deg): 90.00 90.00 90.00
Space group Immm (No. 71)
Asymmetric unit:
1 Mg 0.0000 0.0000 0.0000
2 Fe 0.0000 0.0000 0.5000
3 F 0.0000 0.0000 0.2648
4 F 0.0000 0.3165 0.0000
5 F 0.0000 0.5000 0.5000

Top 10 peaks for 10 to 90 degrees two-theta, sorted by position:
- (0 1 1), 2θ = 17.66°, intensity 35
- (0 0 2), 2θ = 22.72°, intensity 100
- (0 2 0), 2θ = 27.24°, intensity 82
- (1 1 0), 2θ = 28.26°, intensity 79
- (1 2 1), 2θ = 38.90°, intensity 56
- (0 0 4), 2θ = 46.40°, intensity 37
- (1 3 0), 2θ = 48.77°, intensity 40
- (2 0 0), 2θ = 50.64°, intensity 29
- (0 4 0), 2θ = 56.18°, intensity 26
- (1 3 4), 2θ = 69.59°, intensity 22

[10]
Theoretical powder diffractogram
Compound: MgFe8O14F2
Radiation: CuKα
Structure: a cell relaxed with PBE+U

Structural model:
a b c (Å): 5.7159 7.2623 7.7241
angles (deg): 84.35 71.37 71.59
Space group P1 (No. 1)
Asymmetric unit:
1 Mg 0.0000 0.0000 0.0000
2 Fe 0.1614 0.3677 0.6377
3 Fe 0.2050 0.8288 0.5912
4 Fe 0.4213 0.1304 0.8815
5 Fe 0.4832 0.5924 0.8432
6 Fe 0.5565 0.3913 0.1898
7 Fe 0.5693 0.8717 0.1521
8 Fe 0.8184 0.1285 0.4233
9 Fe 0.8772 0.6182 0.4005
10 O 0.0837 0.2545 0.8752
11 O 0.2311 0.4521 0.3854
12 O 0.2475 0.5783 0.7107
13 O 0.2561 0.0416 0.1162
14 O 0.3227 0.8624 0.7959
15 O 0.4753 0.3539 0.9748
16 O 0.5093 0.1982 0.6287
17 O 0.5260 0.7847 0.3999
18 O 0.5472 0.6350 0.0671
19 O 0.6823 0.1122 0.2225
20 O 0.7322 0.9589 0.8977
21 O 0.7850 0.3944 0.3217
22 O 0.8117 0.5216 0.6560
23 O 0.9576 0.8530 0.4646
24 F 0.0827 0.1291 0.5503
25 F 0.9655 0.7356 0.1316

Top 10 peaks for 10 to 90 degrees two-theta, sorted by position:
- (1 0 -1), 2θ = 23.93°, intensity 100
- (1 2 1), 2θ = 26.83°, intensity 91
- (1 0 3), 2θ = 35.57°, intensity 23
- (1 -2 1), 2θ = 35.71°, intensity 42
- (2 0 2), 2θ = 35.89°, intensity 30
- (2 1 3), 2θ = 41.19°, intensity 14
- (2 2 4), 2θ = 53.17°, intensity 25
- (1 4 -1), 2θ = 53.52°, intensity 17
- (2 4 2), 2θ = 55.29°, intensity 15
- (2 -2 4), 2θ = 63.85°, intensity 20

[11]
Theoretical powder diffractogram
Compound: MgFe8O14F2
Radiation: CuKα
Structure: a cell relaxed with PBE+U

Structural model:
a b c (Å): 5.7509 7.2841 7.7354
angles (deg): 83.26 71.69 70.88
Space group P1 (No. 1)
Asymmetric unit:
1 Mg 0.0000 0.0000 0.0000
2 Fe 0.1344 0.3718 0.6083
3 Fe 0.1852 0.8671 0.5812
4 Fe 0.3971 0.1499 0.8523
5 Fe 0.4667 0.6055 0.8133
6 Fe 0.5178 0.4004 0.1596
7 Fe 0.5679 0.8651 0.1395
8 Fe 0.8067 0.1440 0.4117
9 Fe 0.8713 0.6546 0.3738
10 O 0.0546 0.2684 0.8536
11 O 0.0594 0.1444 0.5341
12 O 0.2052 0.4687 0.3562
13 O 0.2304 0.6027 0.6784
14 O 0.2730 0.0510 0.0892
15 O 0.3144 0.8827 0.7797
16 O 0.4756 0.3595 0.9288
17 O 0.4855 0.2129 0.5995
18 O 0.5159 0.7962 0.3933
19 O 0.5327 0.6477 0.0349
20 O 0.6836 0.1274 0.2035
21 O 0.7932 0.5452 0.6176
22 O 0.9333 0.7415 0.1317
23 O 0.9579 0.8686 0.4496
24 F 0.7555 0.9655 0.8680
25 F 0.7706 0.4131 0.2973

Top 10 peaks for 10 to 90 degrees two-theta, sorted by position:
- (1 0 -1), 2θ = 23.71°, intensity 100
- (1 2 1), 2θ = 26.58°, intensity 92
- (0 2 2), 2θ = 35.47°, intensity 16
- (1 0 3), 2θ = 35.66°, intensity 23
- (1 -2 1), 2θ = 35.97°, intensity 23
- (0 2 -2), 2θ = 36.04°, intensity 34
- (3 2 3), 2θ = 53.30°, intensity 25
- (1 4 -1), 2θ = 53.63°, intensity 14
- (2 4 2), 2θ = 54.74°, intensity 15
- (2 -2 4), 2θ = 64.59°, intensity 14

[12]
Theoretical powder diffractogram
Compound: MgFe10O16F4
Radiation: CuKα
Structure: a cell relaxed with PBE+U

Structural model:
a b c (Å): 4.8943 5.5549 12.7640
angles (deg): 101.06 90.32 90.98
Space group P1 (No. 1)
Asymmetric unit:
1 Mg 0.0000 0.0000 0.0000
2 Fe 0.0169 0.0064 0.5069
3 Fe 0.0475 0.5333 0.8832
4 Fe 0.0501 0.7823 0.6985
5 Fe 0.4813 0.9355 0.1181
6 Fe 0.4959 0.1139 0.8994
7 Fe 0.5203 0.7333 0.3135
8 Fe 0.5284 0.3007 0.6921
9 Fe 0.5453 0.5173 0.5040
10 Fe 0.9587 0.4680 0.1080
11 Fe 0.9835 0.1955 0.2973
12 O 0.1591 0.6933 0.0362
13 O 0.1772 0.8631 0.8467
14 O 0.2167 0.0567 0.6430
15 O 0.3110 0.9795 0.2553
16 O 0.3396 0.1799 0.0415
17 O 0.3442 0.7689 0.4466
18 O 0.3547 0.5559 0.6385
19 O 0.3586 0.3582 0.8288
20 O 0.6674 0.6677 0.1710
21 O 0.6891 0.4525 0.3604
22 O 0.7015 0.2449 0.5563
23 O 0.8320 0.9551 0.3699
24 O 0.8353 0.1453 0.1495
25 O 0.8434 0.3055 0.9562
26 O 0.8453 0.5252 0.7515
27 O 0.8553 0.7423 0.5661
28 F 0.1780 0.4811 0.2453
29 F 0.1957 0.2804 0.4445
30 F 0.6658 0.8186 0.9556
31 F 0.7046 0.0306 0.7560

Top 10 peaks for 10 to 90 degrees two-theta, sorted by position:
- (-1 1 1), 2θ = 26.09°, intensity 93
- (1 1 1), 2θ = 26.61°, intensity 100
- (1 1 -4), 2θ = 35.33°, intensity 51
- (0 2 -3), 2θ = 35.72°, intensity 26
- (0 0 5), 2θ = 35.84°, intensity 26
- (2 0 0), 2θ = 36.73°, intensity 18
- (2 2 -3), 2θ = 52.50°, intensity 26
- (2 2 2), 2θ = 54.80°, intensity 18
- (0 2 -8), 2θ = 62.47°, intensity 18
- (3 1 -4), 2θ = 65.24°, intensity 23